LaY4Se6: calculated XRD peak list (Cu Ka), based on a DFT-relaxed cell (GGA-PBE, Alexandria).
No peak broadening, texture or thermal motion is included.

```
data_LaY4Se6
_chemical_formula_sum 'La2 Y8 Se12'
_cell_length_a 7.023
_cell_length_b 7.023
_cell_length_c 20.817
_cell_angle_alpha 90.00
_cell_angle_beta 90.00
_cell_angle_gamma 146.22
_space_group_name_H-M_alt 'P 1'
_space_group_IT_number 1
loop_
_space_group_symop_operation_xyz
'x,y,z'
loop_
_atom_site_label
_atom_site_fract_x
_atom_site_fract_y
_atom_site_fract_z
_atom_site_occupancy
La1 0.156 0.844 0.750 1
La2 0.844 0.156 0.250 1
Y1 0.092 0.908 0.125 1
Y2 0.092 0.908 0.375 1
Y3 0.359 0.641 0.038 1
Y4 0.359 0.641 0.462 1
Y5 0.641 0.359 0.538 1
Y6 0.641 0.359 0.962 1
Y7 0.908 0.092 0.625 1
Y8 0.908 0.092 0.875 1
Se1 0.000 0.000 0.000 1
Se2 0.000 0.000 0.500 1
Se3 0.181 0.819 0.250 1
Se4 0.267 0.733 0.591 1
Se5 0.267 0.733 0.909 1
Se6 0.452 0.548 0.164 1
Se7 0.452 0.548 0.336 1
Se8 0.548 0.452 0.664 1
Se9 0.548 0.452 0.836 1
Se10 0.733 0.267 0.091 1
Se11 0.733 0.267 0.409 1
Se12 0.819 0.181 0.750 1
```

Peak list (10 most intense, 2θ = 15–90°, most intense first)
30.86°, intensity 100.0
43.97°, intensity 56.9
32.36°, intensity 51.9
28.96°, intensity 49.8
29.93°, intensity 36.1
44.41°, intensity 34.2
41.71°, intensity 33.5
45.97°, intensity 23.1
25.16°, intensity 22.6
64.32°, intensity 22.2

***

ErSi3Ir2: calculated XRD peak list (Cu Ka), based on a DFT-relaxed cell (GGA-PBE, Alexandria).
No peak broadening, texture or thermal motion is included.

```
data_ErSi3Ir2
_chemical_formula_sum 'Er2 Si6 Ir4'
_cell_length_a 7.480
_cell_length_b 7.480
_cell_length_c 7.627
_cell_angle_alpha 111.64
_cell_angle_beta 111.64
_cell_angle_gamma 31.25
_space_group_name_H-M_alt 'P 1'
_space_group_IT_number 1
loop_
_space_group_symop_operation_xyz
'x,y,z'
loop_
_atom_site_label
_atom_site_fract_x
_atom_site_fract_y
_atom_site_fract_z
_atom_site_occupancy
Er1 0.145 0.145 0.085 1
Er2 0.855 0.855 0.915 1
Si1 0.016 0.016 0.353 1
Si2 0.327 0.327 0.564 1
Si3 0.364 0.364 0.233 1
Si4 0.636 0.636 0.767 1
Si5 0.673 0.673 0.436 1
Si6 0.984 0.984 0.647 1
Ir1 0.177 0.177 0.640 1
Ir2 0.489 0.489 0.821 1
Ir3 0.511 0.511 0.179 1
Ir4 0.823 0.823 0.360 1
```

Peak list (10 most intense, 2θ = 15–90°, most intense first)
29.96°, intensity 100.0
32.47°, intensity 82.6
29.01°, intensity 36.5
45.00°, intensity 33.7
33.01°, intensity 33.7
40.68°, intensity 31.7
40.51°, intensity 21.6
62.26°, intensity 18.0
42.80°, intensity 17.5
53.15°, intensity 16.5

***

DyYTmSc: calculated XRD peak list (Cu Ka), based on a DFT-relaxed cell (GGA-PBE, Alexandria).
No peak broadening, texture or thermal motion is included.

```
data_DyYTmSc
_chemical_formula_sum 'Dy1 Y1 Tm1 Sc1'
_cell_length_a 5.522
_cell_length_b 5.522
_cell_length_c 5.522
_cell_angle_alpha 60.00
_cell_angle_beta 60.00
_cell_angle_gamma 60.00
_space_group_name_H-M_alt 'P 1'
_space_group_IT_number 1
loop_
_space_group_symop_operation_xyz
'x,y,z'
loop_
_atom_site_label
_atom_site_fract_x
_atom_site_fract_y
_atom_site_fract_z
_atom_site_occupancy
Dy1 0.000 0.000 0.000 1
Y1 0.500 0.500 0.500 1
Tm1 0.250 0.250 0.250 1
Sc1 0.750 0.750 0.750 1
```

Peak list (10 most intense, 2θ = 15–90°, most intense first)
32.43°, intensity 100.0
57.84°, intensity 37.7
19.69°, intensity 20.3
46.52°, intensity 18.2
77.27°, intensity 16.0
38.22°, intensity 12.0
67.89°, intensity 11.6
50.97°, intensity 5.5
61.72°, intensity 4.2
71.47°, intensity 4.2